# 1
Diffraction record for Rb3Pd2Cl7. The powder diffractogram is simulated, not measured: it uses a cell relaxed with GGA-PBE and Cu Kα.
Kinematic intensities with the Lorentz-polarization factor, no thermal factor.

Crystal structure
a b c (Å): 5.0281 5.0281 26.1315
angles (deg): 90.00 90.00 90.00
Space group I4/mmm (No. 139)
Unique sites:
Rb: 0.0000 0.0000 0.0000
Rb: 0.0000 0.0000 0.1809
Pd: 0.0000 0.0000 0.4051
Cl: 0.0000 0.0000 0.3094
Cl: 0.0000 0.0000 0.5000
Cl: 0.0000 0.5000 0.0940

Largest 10 diffraction maxima, by angle, 2θ from 5° to 70°:
- hkl 0 0 2, 6.77 deg, rel. 37
- hkl 1 0 5, 24.57 deg, rel. 100
- hkl 1 1 0, 25.05 deg, rel. 82
- hkl 1 1 6, 32.51 deg, rel. 28
- hkl 0 0 10, 34.32 deg, rel. 32
- hkl 2 0 0, 35.71 deg, rel. 99
- hkl 2 1 5, 43.83 deg, rel. 44
- hkl 2 0 10, 50.37 deg, rel. 39
- hkl 2 2 0, 51.40 deg, rel. 37
- hkl 2 2 10, 63.27 deg, rel. 27

***

# 2
Diffraction record for Rb4Pd3Cl12. The powder diffractogram is simulated, not measured: it uses a cell relaxed with GGA-PBE and Cu Kα.
Kinematic intensities with the Lorentz-polarization factor, no thermal factor.

Crystal structure
a b c (Å): 11.4020 11.4020 11.4020
angles (deg): 90.00 90.00 90.00
Space group Im-3 (No. 204)
Unique sites:
Rb: 0.2500 0.2500 0.2500
Pd: 0.0000 0.0000 0.5000
Cl: 0.0000 0.3566 0.1427

Largest 10 diffraction maxima, by angle, 2θ from 5° to 70°:
- hkl 1 1 0, 10.97 deg, rel. 37
- hkl 2 1 1, 19.07 deg, rel. 22
- hkl 2 2 0, 22.05 deg, rel. 100
- hkl 3 1 0, 24.69 deg, rel. 21
- hkl 4 0 0, 31.38 deg, rel. 17
- hkl 4 2 2, 38.69 deg, rel. 66
- hkl 4 4 0, 44.97 deg, rel. 11
- hkl 6 0 2, 50.63 deg, rel. 28
- hkl 4 4 4, 55.87 deg, rel. 13
- hkl 6 2 4, 60.79 deg, rel. 23

***

# 3
Diffraction record for Rb3Pd2Cl9. The powder diffractogram is simulated, not measured: it uses a cell relaxed with GGA-PBE and Cu Kα.
Kinematic intensities with the Lorentz-polarization factor, no thermal factor.

Crystal structure
a b c (Å): 7.1172 7.1172 18.3732
angles (deg): 90.00 90.00 120.00
Space group P6_3/mmc (No. 194)
Unique sites:
Rb: 0.0000 0.0000 0.2500
Rb: 0.3333 0.6667 0.0648
Pd: 0.3333 0.6667 0.6650
Cl: 0.0170 0.5085 0.7500
Cl: 0.1734 0.3469 0.5916

Largest 10 diffraction maxima, by angle, 2θ from 5° to 70°:
- hkl 1 0 0, 14.37 deg, rel. 35
- hkl 1 0 1, 15.16 deg, rel. 100
- hkl 1 1 0, 25.02 deg, rel. 89
- hkl 1 0 5, 28.27 deg, rel. 74
- hkl 2 0 2, 30.60 deg, rel. 48
- hkl 2 0 3, 32.52 deg, rel. 68
- hkl 2 0 4, 35.06 deg, rel. 58
- hkl 2 0 5, 38.11 deg, rel. 52
- hkl 2 1 5, 46.13 deg, rel. 45
- hkl 2 2 0, 51.35 deg, rel. 53